The following is a computed PXRD pattern of Na2Te3Pd2. It was derived from the PBE geometry in Alexandria, using a wavelength of 1.5418 Å.

Largest 10 diffraction maxima, sorted by position, 2θ from 10° to 80°:
d (Å), 2theta, Rel. int.
7.007, 12.63, 23
6.432, 13.77, 100
4.530, 19.60, 39
3.050, 29.28, 74
2.823, 31.69, 60
2.586, 34.69, 89
2.251, 40.06, 55
2.184, 41.34, 27
2.063, 43.89, 28
1.666, 55.14, 24

```
data_Na2Te3Pd2
_cell_length_a 12.9228
_cell_length_b 4.1255
_cell_length_c 9.0928
_cell_angle_alpha 90.00
_cell_angle_beta 129.59
_cell_angle_gamma 90.00
_symmetry_space_group_name_H-M 'C 1 2/m 1'
_symmetry_Int_Tables_number 12
loop_
_symmetry_equiv_pos_as_xyz
'x,y,z'
'-x,-y,-z'
'-x,y,-z'
'x,-y,z'
'x+1/2,y+1/2,z'
'-x+1/2,-y+1/2,-z'
'-x+1/2,y+1/2,-z'
'x+1/2,-y+1/2,z'
loop_
_atom_site_label
_atom_site_fract_x
_atom_site_fract_y
_atom_site_fract_z
_atom_site_occupancy
Na1 0.0902 0.0000 0.2646 1
Te1 0.0000 0.0000 0.5000 1
Te2 0.1548 0.5000 0.0529 1
Pd1 0.1728 0.5000 0.7617 1
```